LiAgF2: theoretical X-ray diffraction stick pattern (Cu Kα), based on a PBE-relaxed structure.
Peak positions follow from Bragg's law for the DFT cell and can differ from measured ones.

Crystal structure
```
data_LiAgF2
_cell_length_a 2.952
_cell_length_b 6.239
_cell_length_c 11.294
_cell_angle_alpha 90.00
_cell_angle_beta 90.00
_cell_angle_gamma 90.00
_space_group_name_H-M_alt 'P 21 21 21'
_space_group_IT_number 19
loop_
_space_group_symop_operation_xyz
'x,y,z'
'-x+1/2,-y,z+1/2'
'x+1/2,-y+1/2,-z'
'-x,y+1/2,-z+1/2'
loop_
_atom_site_label
_atom_site_fract_x
_atom_site_fract_y
_atom_site_fract_z
_atom_site_occupancy
Li1 0.218 0.214 0.395 1
Ag1 0.205 0.764 0.619 1
F1 0.219 0.088 0.554 1
F2 0.220 0.441 0.689 1
```

Main lines, most intense first (2θ from 10° to 80°):
- (0 1 1), d 5.461, I 100
- (1 0 2), d 2.616, I 63
- (1 1 1), d 2.597, I 33
- (1 1 3), d 2.177, I 31
- (0 1 3), d 3.223, I 30
- (0 0 4), d 2.824, I 29


SiO2: theoretical X-ray diffraction stick pattern (Cu Kα), based on a PBE-relaxed structure.
Peak positions follow from Bragg's law for the DFT cell and can differ from measured ones.

Crystal structure
```
data_SiO2
_cell_length_a 5.054
_cell_length_b 8.417
_cell_length_c 5.113
_cell_angle_alpha 90.00
_cell_angle_beta 119.51
_cell_angle_gamma 90.00
_space_group_name_H-M_alt 'P 1 21 1'
_space_group_IT_number 4
loop_
_space_group_symop_operation_xyz
'x,y,z'
'-x,y+1/2,-z'
loop_
_atom_site_label
_atom_site_fract_x
_atom_site_fract_y
_atom_site_fract_z
_atom_site_occupancy
Si1 0.097 0.000 0.332 1
Si2 0.232 0.375 0.326 1
O1 0.025 0.476 0.431 1
O2 0.157 0.187 0.315 1
O3 0.159 0.436 0.996 1
O4 0.409 0.900 0.438 1
```

Main lines, most intense first (2θ from 10° to 80°):
- (1 0 0), d 4.395, I 100
- (0 2 0), d 4.209, I 98
- (1 1 0), d 3.896, I 76
- (0 0 1), d 4.450, I 53
- (1 0 -2), d 2.558, I 42
- (1 2 -1), d 3.040, I 40


BaCuBi: theoretical X-ray diffraction stick pattern (Cu Kα), based on a PBE-relaxed structure.
Peak positions follow from Bragg's law for the DFT cell and can differ from measured ones.

Crystal structure
```
data_BaCuBi
_cell_length_a 4.7684
_cell_length_b 4.7684
_cell_length_c 15.1752
_cell_angle_alpha 90.00
_cell_angle_beta 90.00
_cell_angle_gamma 120.00
_space_group_name_H-M_alt 'R 3 m'
_space_group_IT_number 160
_space_group_name_Hall 'R 3 -2"'
loop_
_atom_site_label
_atom_site_fract_x
_atom_site_fract_y
_atom_site_fract_z
_atom_site_occupancy
Ba1 0.0000 0.0000 0.0000 1
Cu1 0.0000 0.0000 0.2056 1
Bi1 0.0000 0.0000 0.5097 1
```

Main lines, most intense first (2θ from 10° to 80°):
- (0 1 2), d 3.627, I 100
- (1 0 4), d 2.794, I 84
- (1 1 0), d 2.384, I 68
- (1 1 6), d 1.735, I 41
- (0 2 4), d 1.814, I 24
- (2 1 4), d 1.443, I 23


PmSm2YS6: theoretical X-ray diffraction stick pattern (Cu Kα), based on a PBE-relaxed structure.
Peak positions follow from Bragg's law for the DFT cell and can differ from measured ones.

Crystal structure
```
data_PmSm2YS6
_cell_length_a 7.0631
_cell_length_b 7.0631
_cell_length_c 18.7480
_cell_angle_alpha 90.00
_cell_angle_beta 90.00
_cell_angle_gamma 120.00
_space_group_name_H-M_alt 'R 3'
_space_group_IT_number 146
_space_group_name_Hall 'R 3'
loop_
_atom_site_label
_atom_site_fract_x
_atom_site_fract_y
_atom_site_fract_z
_atom_site_occupancy
Pm1 0.0000 0.0000 0.0000 1
Sm1 0.0000 0.0000 0.2929 1
Sm2 0.0000 0.0000 0.7952 1
Y1 0.0000 0.0000 0.4967 1
S1 0.0009 0.7059 0.3975 1
S2 0.0367 0.3608 0.5636 1
```

Main lines, most intense first (2θ from 10° to 80°):
- (1 0 4), d 3.720, I 100
- (1 1 0), d 3.532, I 93
- (2 -1 6), d 2.340, I 79
- (3 0 0), d 2.039, I 52
- (0 2 4), d 2.561, I 51
- (3 -1 4), d 2.073, I 50


PrHoIr: theoretical X-ray diffraction stick pattern (Cu Kα), based on a PBE-relaxed structure.
Peak positions follow from Bragg's law for the DFT cell and can differ from measured ones.

Crystal structure
```
data_PrHoIr
_cell_length_a 4.892
_cell_length_b 4.904
_cell_length_c 6.901
_cell_angle_alpha 89.45
_cell_angle_beta 89.74
_cell_angle_gamma 89.99
_space_group_name_H-M_alt 'P -1'
_space_group_IT_number 2
loop_
_space_group_symop_operation_xyz
'x,y,z'
'-x,-y,-z'
loop_
_atom_site_label
_atom_site_fract_x
_atom_site_fract_y
_atom_site_fract_z
_atom_site_occupancy
Pr1 0.003 0.493 0.250 1
Ho1 0.497 0.006 0.750 1
Ir1 0.000 0.000 0.000 1
Ir2 0.500 0.500 0.500 1
```

Main lines, most intense first (2θ from 10° to 80°):
- (1 1 2), d 2.454, I 100
- (2 0 0), d 2.447, I 99
- (1 0 1), d 4.008, I 52
- (1 0 -1), d 3.981, I 51
- (1 -1 2), d 2.440, I 49
- (1 1 -2), d 2.432, I 49


K3Ge2O6: theoretical X-ray diffraction stick pattern (Cu Kα), based on a PBE-relaxed structure.
Peak positions follow from Bragg's law for the DFT cell and can differ from measured ones.

Crystal structure
```
data_K3Ge2O6
_cell_length_a 3.661
_cell_length_b 3.661
_cell_length_c 24.455
_cell_angle_alpha 90.00
_cell_angle_beta 90.00
_cell_angle_gamma 90.00
_space_group_name_H-M_alt 'I 4/m m m'
_space_group_IT_number 139
_space_group_name_Hall '-I 4 2'
loop_
_atom_site_label
_atom_site_fract_x
_atom_site_fract_y
_atom_site_fract_z
_atom_site_occupancy
K1 0.000 0.000 0.000 1
K2 0.000 0.000 0.200 1
Ge1 0.000 0.000 0.389 1
O1 0.000 0.000 0.318 1
O2 0.000 0.500 0.086 1
```

Main lines, most intense first (2θ from 10° to 80°):
- (1 0 5), d 2.931, I 100
- (0 0 4), d 6.114, I 37
- (1 1 0), d 2.589, I 36
- (2 0 0), d 1.830, I 28
- (2 1 5), d 1.553, I 28
- (0 0 10), d 2.446, I 23


SbH3Pd7: theoretical X-ray diffraction stick pattern (Cu Kα), based on a PBE-relaxed structure.
Peak positions follow from Bragg's law for the DFT cell and can differ from measured ones.

Crystal structure
```
data_SbH3Pd7
_cell_length_a 7.294
_cell_length_b 7.671
_cell_length_c 5.074
_cell_angle_alpha 90.00
_cell_angle_beta 98.72
_cell_angle_gamma 90.00
_space_group_name_H-M_alt 'C 1 2/m 1'
_space_group_IT_number 12
loop_
_space_group_symop_operation_xyz
'x,y,z'
'-x,-y,-z'
'-x,y,-z'
'x,-y,z'
'x+1/2,y+1/2,z'
'-x+1/2,-y+1/2,-z'
'-x+1/2,y+1/2,-z'
'x+1/2,-y+1/2,z'
loop_
_atom_site_label
_atom_site_fract_x
_atom_site_fract_y
_atom_site_fract_z
_atom_site_occupancy
Sb1 0.000 0.000 0.000 1
H1 0.000 0.336 0.500 1
H2 0.000 0.500 0.000 1
Pd1 0.000 0.000 0.500 1
Pd2 0.152 0.500 0.716 1
Pd3 0.160 0.311 0.223 1
```

Main lines, most intense first (2θ from 10° to 80°):
- (2 0 -2), d 2.226, I 100
- (3 1 0), d 2.293, I 74
- (1 3 -1), d 2.216, I 62
- (1 1 2), d 2.172, I 52
- (2 2 -1), d 2.440, I 46
- (1 3 1), d 2.130, I 31


Ti2Cd2Sb: theoretical X-ray diffraction stick pattern (Cu Kα), based on a PBE-relaxed structure.
Peak positions follow from Bragg's law for the DFT cell and can differ from measured ones.

Crystal structure
```
data_Ti2Cd2Sb
_cell_length_a 6.963
_cell_length_b 6.963
_cell_length_c 4.456
_cell_angle_alpha 90.00
_cell_angle_beta 90.00
_cell_angle_gamma 90.00
_space_group_name_H-M_alt 'P 4/m b m'
_space_group_IT_number 127
_space_group_name_Hall '-P 4 2ab'
loop_
_atom_site_label
_atom_site_fract_x
_atom_site_fract_y
_atom_site_fract_z
_atom_site_occupancy
Ti1 0.142 0.358 0.000 1
Cd1 0.153 0.653 0.500 1
Sb1 0.000 0.000 0.000 1
```

Main lines, most intense first (2θ from 10° to 80°):
- (2 1 1), d 2.552, I 100
- (3 1 0), d 2.202, I 47
- (1 1 1), d 3.304, I 41
- (2 0 1), d 2.743, I 31
- (3 1 2), d 1.566, I 31
- (0 0 2), d 2.228, I 27


Ce8AsSe4S3: theoretical X-ray diffraction stick pattern (Cu Kα), based on a PBE-relaxed structure.
Peak positions follow from Bragg's law for the DFT cell and can differ from measured ones.

Crystal structure
```
data_Ce8AsSe4S3
_cell_length_a 8.2508
_cell_length_b 8.2508
_cell_length_c 20.3508
_cell_angle_alpha 90.00
_cell_angle_beta 90.00
_cell_angle_gamma 120.00
_space_group_name_H-M_alt 'R -3 m'
_space_group_IT_number 166
_space_group_name_Hall '-R 3 2"'
loop_
_atom_site_label
_atom_site_fract_x
_atom_site_fract_y
_atom_site_fract_z
_atom_site_occupancy
Ce1 0.0000 0.0000 0.2446 1
Ce2 0.0057 0.5028 0.7540 1
As1 0.0000 0.0000 0.5000 1
Se1 0.0000 0.0000 0.0000 1
Se2 0.0000 0.5000 0.0000 1
S1 0.0000 0.5000 0.5000 1
```

Main lines, most intense first (2θ from 10° to 80°):
- (0 2 4), d 2.924, I 100
- (2 2 0), d 2.063, I 37
- (2 0 8), d 2.072, I 36
- (2 0 2), d 3.371, I 21
- (4 0 4), d 1.685, I 19
- (2 4 4), d 1.305, I 16


AcY2Ho: theoretical X-ray diffraction stick pattern (Cu Kα), based on a PBE-relaxed structure.
Peak positions follow from Bragg's law for the DFT cell and can differ from measured ones.

Crystal structure
```
data_AcY2Ho
_cell_length_a 3.6943
_cell_length_b 3.6943
_cell_length_c 35.3076
_cell_angle_alpha 90.00
_cell_angle_beta 90.00
_cell_angle_gamma 120.00
_space_group_name_H-M_alt 'R -3 m'
_space_group_IT_number 166
_space_group_name_Hall '-R 3 2"'
loop_
_atom_site_label
_atom_site_fract_x
_atom_site_fract_y
_atom_site_fract_z
_atom_site_occupancy
Ac1 0.0000 0.0000 0.0000 1
Y1 0.0000 0.0000 0.2468 1
Ho1 0.0000 0.0000 0.5000 1
```

Main lines, most intense first (2θ from 10° to 80°):
- (1 0 4), d 3.008, I 100
- (0 1 8), d 2.590, I 66
- (0 0 12), d 2.942, I 31
- (1 1 12), d 1.564, I 28
- (1 1 0), d 1.847, I 25
- (1 0 16), d 1.817, I 23


> Number 6 is which compound?

K3Ge2O6